Computed powder X-ray diffraction pattern of AgPd3C for Cu Kα X-rays, from DFT lattice parameters and positions (PBE).

The 5 most intense peaks (2θ = 10–90°), by angle:
2θ 37.36, I 100.0, (1 1 1)
2θ 43.41, I 53.4, (2 0 0)
2θ 63.06, I 33.8, (2 2 0)
2θ 75.65, I 36.5, (3 1 1)
2θ 79.66, I 11.4, (2 2 2)

Atomic structure:
```
data_AgPd3C
_space_group_name_H-M_alt 'P m -3 m'
_space_group_IT_number 221
_space_group_name_Hall '-P 4 2 3'
_cell_length_a 4.1694
_cell_length_b 4.1694
_cell_length_c 4.1694
_cell_angle_alpha 90.00
_cell_angle_beta 90.00
_cell_angle_gamma 90.00
loop_
_atom_site_label
_atom_site_type_symbol
_atom_site_fract_x
_atom_site_fract_y
_atom_site_fract_z
_atom_site_occupancy
Ag1 Ag 0.0000 0.0000 0.0000 1
Pd1 Pd 0.0000 0.5000 0.5000 1
C1 C 0.5000 0.5000 0.5000 1
```

---

Computed powder X-ray diffraction pattern of LaNdSm3Y for Cu Kα X-rays, from DFT lattice parameters and positions (PBE).

The 10 most intense peaks (2θ = 10–90°), by angle:
2θ 29.99, I 100.0, (1 1 2)
2θ 34.66, I 17.0, (0 2 0)
2θ 34.82, I 33.6, (3 0 0)
2θ 49.94, I 12.2, (3 2 0)
2θ 49.98, I 18.0, (2 0 4)
2θ 59.26, I 14.5, (1 3 2)
2θ 59.46, I 28.5, (4 1 2)
2θ 62.31, I 6.2, (2 2 4)
2θ 81.19, I 11.6, (4 3 2)
2θ 83.91, I 8.1, (6 2 0)

Atomic structure:
```
data_LaNdSm3Y
_space_group_name_H-M_alt 'P 1 21/m 1'
_space_group_IT_number 11
_cell_length_a 8.1486
_cell_length_b 5.1760
_cell_length_c 10.3058
_cell_angle_alpha 90.00
_cell_angle_beta 108.40
_cell_angle_gamma 90.00
loop_
_space_group_symop_operation_xyz
'x,y,z'
'-x,-y,-z'
'-x,y+1/2,-z'
'x,-y+1/2,z'
loop_
_atom_site_label
_atom_site_type_symbol
_atom_site_fract_x
_atom_site_fract_y
_atom_site_fract_z
_atom_site_occupancy
La1 La 0.1647 0.2500 0.2903 1
Nd1 Nd 0.4998 0.2500 0.6266 1
Sm1 Sm 0.1671 0.7500 0.5433 1
Sm2 Sm 0.1683 0.2500 0.7927 1
Sm3 Sm 0.1685 0.7500 0.0406 1
Y1 Y 0.4969 0.7500 0.8766 1
```

---

Computed powder X-ray diffraction pattern of RbVZn for Cu Kα X-rays, from DFT lattice parameters and positions (PBE).

The 10 most intense peaks (2θ = 10–90°), by angle:
2θ 22.44, I 97.6, (0 0 3)
2θ 24.71, I 47.8, (1 0 1)
2θ 25.08, I 100.0, (0 1 -2)
2θ 26.12, I 52.5, (1 -1 0)
2θ 29.97, I 30.6, (-1 1 2)
2θ 34.31, I 50.3, (1 0 3)
2θ 35.00, I 44.1, (1 0 -4)
2θ 35.16, I 33.9, (0 1 -4)
2θ 35.92, I 64.2, (1 1 -1)
2θ 45.45, I 39.6, (1 -2 2)

Atomic structure:
```
data_RbVZn
_space_group_name_H-M_alt 'P 1'
_space_group_IT_number 1
_cell_length_a 4.2004
_cell_length_b 4.2616
_cell_length_c 12.0570
_cell_angle_alpha 95.01
_cell_angle_beta 96.52
_cell_angle_gamma 107.49
loop_
_space_group_symop_operation_xyz
'x,y,z'
loop_
_atom_site_label
_atom_site_type_symbol
_atom_site_fract_x
_atom_site_fract_y
_atom_site_fract_z
_atom_site_occupancy
Rb1 Rb 0.0000 0.0000 0.0000 1
Rb2 Rb 0.3348 0.4013 0.6276 1
V1 V 0.4882 0.9960 0.3166 1
V2 V 0.7683 0.7861 0.3959 1
Zn1 Zn 0.1132 0.3828 0.3352 1
Zn2 Zn 0.6422 0.5214 0.1909 1
```

---

Computed powder X-ray diffraction pattern of Na2B3C for Cu Kα X-rays, from DFT lattice parameters and positions (PBE).

The 10 most intense peaks (2θ = 10–90°), by angle:
2θ 35.52, I 18.8, (2 1 -1)
2θ 41.44, I 100.0, (0 2 2)
2θ 42.04, I 24.8, (0 0 4)
2θ 56.18, I 10.4, (2 1 3)
2θ 63.74, I 11.6, (2 3 -1)
2θ 63.87, I 5.8, (4 0 -2)
2θ 76.41, I 12.5, (0 2 6)
2θ 79.02, I 7.5, (4 2 0)
2θ 79.33, I 11.3, (2 3 3)
2θ 79.45, I 5.7, (4 0 2)

Atomic structure:
```
data_Na2B3C
_space_group_name_H-M_alt 'P 1 2 1'
_space_group_IT_number 3
_cell_length_a 5.8300
_cell_length_b 5.0612
_cell_length_c 9.0767
_cell_angle_alpha 90.00
_cell_angle_beta 108.72
_cell_angle_gamma 90.00
loop_
_space_group_symop_operation_xyz
'x,y,z'
'-x,y,-z'
loop_
_atom_site_label
_atom_site_type_symbol
_atom_site_fract_x
_atom_site_fract_y
_atom_site_fract_z
_atom_site_occupancy
Na1 Na 0.1239 0.0000 0.2479 1
Na2 Na 0.1260 0.4973 0.7518 1
Na3 Na 0.3743 0.4994 0.2483 1
Na4 Na 0.3745 0.9978 0.7494 1
B1 B 0.0000 0.1668 0.5000 1
B2 B 0.0000 0.3178 0.0000 1
B3 B 0.0000 0.6590 0.0000 1
B4 B 0.0000 0.8171 0.5000 1
B5 B 0.2520 0.3332 0.5004 1
B6 B 0.2631 0.6826 0.5000 1
B7 B 0.2627 0.8434 0.0005 1
B8 B 0.5000 0.1482 0.5000 1
B9 B 0.5000 0.3350 0.0000 1
C1 C 0.2556 0.1632 0.0004 1
C2 C 0.5000 0.6653 0.0000 1
C3 C 0.5000 0.8300 0.5000 1
```

---

Computed powder X-ray diffraction pattern of MgAg2BBr for Cu Kα X-rays, from DFT lattice parameters and positions (PBE).

The 10 most intense peaks (2θ = 10–90°), by angle:
2θ 17.04, I 23.1, (1 0 0)
2θ 17.29, I 28.2, (0 0 1)
2θ 29.89, I 100.0, (1 1 1)
2θ 34.48, I 47.0, (2 0 0)
2θ 35.00, I 22.6, (0 0 2)
2θ 38.82, I 15.1, (2 0 1)
2θ 49.56, I 16.1, (2 2 0)
2θ 49.95, I 31.4, (2 0 2)
2θ 58.96, I 26.8, (3 1 1)
2θ 62.11, I 15.8, (2 2 2)

Atomic structure:
```
data_MgAg2BBr
_space_group_name_H-M_alt 'P 4/m m m'
_space_group_IT_number 123
_space_group_name_Hall '-P 4 2'
_cell_length_a 5.2022
_cell_length_b 5.2022
_cell_length_c 5.1274
_cell_angle_alpha 90.00
_cell_angle_beta 90.00
_cell_angle_gamma 90.00
loop_
_atom_site_label
_atom_site_type_symbol
_atom_site_fract_x
_atom_site_fract_y
_atom_site_fract_z
_atom_site_occupancy
Mg1 Mg 0.0000 0.0000 0.0000 1
Ag1 Ag 0.0000 0.5000 0.0000 1
B1 B 0.5000 0.5000 0.5000 1
Br1 Br 0.0000 0.0000 0.5000 1
```

---

Computed powder X-ray diffraction pattern of Nd5N4 for Cu Kα X-rays, from DFT lattice parameters and positions (PBE).

The 10 most intense peaks (2θ = 10–90°), by angle:
2θ 12.20, I 14.5, (1 1 0)
2θ 27.49, I 58.1, (1 3 0)
2θ 30.56, I 100.0, (2 1 1)
2θ 39.26, I 27.1, (4 2 0)
2θ 39.57, I 13.9, (3 2 1)
2θ 47.91, I 9.2, (0 0 2)
2θ 50.55, I 32.0, (5 0 1)
2θ 56.13, I 16.5, (1 3 2)
2θ 60.01, I 9.1, (1 6 1)
2θ 63.61, I 12.8, (4 2 2)

Atomic structure:
```
data_Nd5N4
_space_group_name_H-M_alt 'I 4/m'
_space_group_IT_number 87
_space_group_name_Hall '-I 4'
_cell_length_a 10.2614
_cell_length_b 10.2614
_cell_length_c 3.7971
_cell_angle_alpha 90.00
_cell_angle_beta 90.00
_cell_angle_gamma 90.00
loop_
_atom_site_label
_atom_site_type_symbol
_atom_site_fract_x
_atom_site_fract_y
_atom_site_fract_z
_atom_site_occupancy
Nd1 Nd 0.0000 0.0000 0.0000 1
Nd2 Nd 0.1040 0.2622 0.5000 1
N1 N 0.1413 0.8083 0.0000 1
```